Theoretical powder X-ray diffraction pattern
Compound: Gd4Cu5P7
Radiation: λ = 1.5418 Å (Cu Kα)
Structure: a DFT-relaxed cell (PBE, the Materials Project)
Lines closer than 0.1° are merged.

Main lines, by angle (15 to 90 degrees two-theta):
- d 3.488, rel. 66, hkl 1 1 2
- d 2.462, rel. 60, hkl 0 0 8
- d 2.325, rel. 100, hkl 2 0 4
- d 1.865, rel. 29, hkl 2 2 0
- d 1.740, rel. 16, hkl 1 1 10
- d 1.645, rel. 16, hkl 3 1 2
- d 1.487, rel. 33, hkl 2 2 8
- d 1.393, rel. 12, hkl 2 0 12
- d 1.162, rel. 11, hkl 4 0 8
- d 1.147, rel. 20, hkl 4 2 4

Crystal structure
a = 5.2758 Å, b = 5.2758 Å, c = 19.6764 Å
α = 90.00°, β = 90.00°, γ = 90.00°
Space group I-42m (No. 121)
Symmetry-distinct sites (fractional):
Gd: 0.2438 0.2438 0.1176 x8
Cu: 0.0000 0.0000 0.2497 x4
Cu: 0.0000 0.0000 0.5000 x2
Cu: 0.0000 0.5000 0.2500 x4
P: 0.0000 0.0000 0.0000 x2
P: 0.0000 0.5000 0.0000 x4
P: 0.2469 0.2469 0.3271 x8

=====

Theoretical powder X-ray diffraction pattern
Compound: PmGdCu2
Radiation: λ = 1.5418 Å (Cu Kα)
Structure: a DFT-relaxed cell (PBE, the Materials Project)
Lines closer than 0.1° are merged.

Main lines, by angle (15 to 90 degrees two-theta):
- d 3.574, rel. 17, hkl 2 0 0
- d 2.527, rel. 100, hkl 2 2 0
- d 2.063, rel. 5, hkl 2 2 2
- d 1.787, rel. 17, hkl 4 0 0
- d 1.598, rel. 7, hkl 4 2 0
- d 1.459, rel. 35, hkl 4 2 2
- d 1.264, rel. 11, hkl 4 4 0
- d 1.191, rel. 4, hkl 6 0 0
- d 1.130, rel. 15, hkl 6 2 0

Crystal structure
a = 7.1477 Å, b = 7.1477 Å, c = 7.1477 Å
α = 90.00°, β = 90.00°, γ = 90.00°
Space group Fm-3m (No. 225)
Symmetry-distinct sites (fractional):
Pm: 0.0000 0.0000 0.0000 x4
Gd: 0.0000 0.0000 0.5000 x4
Cu: 0.2500 0.2500 0.2500 x8

=====

Theoretical powder X-ray diffraction pattern
Compound: GdCuS2
Radiation: λ = 1.5418 Å (Cu Kα)
Structure: a DFT-relaxed cell (PBE, the Materials Project)
Lines closer than 0.1° are merged.

Main lines, by angle (15 to 90 degrees two-theta):
- d 4.066, rel. 29, hkl 1 1 -1
- d 3.699, rel. 100, hkl 1 1 1
- d 3.149, rel. 28, hkl 1 0 -2
- d 2.880, rel. 29, hkl 1 2 -1
- d 2.797, rel. 70, hkl 2 1 -1
- d 2.617, rel. 33, hkl 1 1 2
- d 2.433, rel. 35, hkl 0 2 2
- d 2.368, rel. 21, hkl 2 2 0
- d 2.210, rel. 21, hkl 1 3 0
- d 2.130, rel. 50, hkl 0 1 3

Crystal structure
a = 6.4412 Å, b = 7.0674 Å, c = 6.7702 Å
α = 90.00°, β = 97.75°, γ = 90.00°
Space group P2_1/c (No. 14)
Symmetry-distinct sites (fractional):
Gd: 0.1937 0.0502 0.3025 x4
Cu: 0.4129 0.6557 0.4414 x4
S: 0.0770 0.7271 0.4981 x4
S: 0.4119 0.1161 0.7197 x4

=====

Theoretical powder X-ray diffraction pattern
Compound: Gd3CuSiS7
Radiation: λ = 1.5418 Å (Cu Kα)
Structure: a DFT-relaxed cell (PBE, the Materials Project)
Lines closer than 0.1° are merged.

Main lines, by angle (15 to 90 degrees two-theta):
- d 4.776, rel. 31, hkl 1 0 1
- d 3.767, rel. 39, hkl 1 1 1
- d 3.454, rel. 100, hkl 2 0 1
- d 3.275, rel. 39, hkl 1 2 0
- d 2.862, rel. 30, hkl 0 0 2
- d 2.501, rel. 42, hkl 2 2 0
- d 2.403, rel. 50, hkl 1 3 0
- d 2.216, rel. 47, hkl 3 1 1
- d 2.155, rel. 49, hkl 1 2 2
- d 1.840, rel. 28, hkl 1 3 2

Crystal structure
a = 10.0044 Å, b = 10.0044 Å, c = 5.7248 Å
α = 90.00°, β = 90.00°, γ = 120.00°
Space group P6_3 (No. 173)
Symmetry-distinct sites (fractional):
Gd: 0.1266 0.3571 0.0000 x6
Cu: 0.0000 0.0000 0.4641 x2
Si: 0.3333 0.6667 0.5873 x2
S: 0.0909 0.2558 0.4807 x6
S: 0.1087 0.5851 0.7344 x6
S: 0.3333 0.6667 0.2186 x2